1.
Diffraction record for ErInSn2Cl8. The XRD peak list is simulated, not measured: it uses DFT lattice parameters and positions (PBE) and λ = 1.5418 Å (Cu Kα).
Lines closer than 0.1° are merged.

Principal peaks in the range 2θ = 10–90°, sorted by position:
two_theta, I/Imax, hkl
18.6, 100.0, 1 1 0
19.2, 96.0, 1 -1 0
23.2, 29.5, 0 1 2
24.0, 48.0, 1 0 2
24.6, 45.4, 1 0 -2
37.2, 54.9, -2 1 2

Cell: 6.447 6.857 8.939 Å, 86.64 88.38 88.20°
Space group P-1 (No. 2)
Inequivalent atoms, fractional coordinates:
Er1 0.000 0.000 0.000 (multiplicity 1)
In1 0.000 0.000 0.500 (multiplicity 1)
Sn1 0.495 0.486 0.751 (multiplicity 2)
Cl1 0.215 0.824 0.791 (multiplicity 2)
Cl2 0.238 0.310 0.965 (multiplicity 2)
Cl3 0.247 0.860 0.213 (multiplicity 2)
Cl4 0.281 0.360 0.539 (multiplicity 2)

=====

2.
Diffraction record for DyPuCl5. The XRD peak list is simulated, not measured: it uses DFT lattice parameters and positions (PBE) and λ = 1.5418 Å (Cu Kα).
Lines closer than 0.1° are merged.

Principal peaks in the range 2θ = 10–90°, sorted by position:
two_theta, I/Imax, hkl
13.6, 67.1, 1 1 -1
17.9, 100.0, 2 0 0
18.5, 34.3, 1 1 1
19.1, 96.4, 1 1 -2
31.1, 69.6, 1 3 0
33.1, 39.3, 2 0 -4

Cell: 11.232 9.004 10.816 Å, 90.00 118.31 90.00°
Space group C2/c (No. 15)
Inequivalent atoms, fractional coordinates:
Dy1 0.000 0.000 0.000 (multiplicity 4)
Pu1 0.000 0.356 0.250 (multiplicity 4)
Cl1 0.000 0.032 0.250 (multiplicity 4)
Cl2 0.015 0.292 0.511 (multiplicity 8)
Cl3 0.234 0.479 0.868 (multiplicity 8)

=====

3.
Diffraction record for Cs2NaYbCl6. The XRD peak list is simulated, not measured: it uses DFT lattice parameters and positions (PBE) and λ = 1.5418 Å (Cu Kα).
Lines closer than 0.1° are merged.

Principal peaks in the range 2θ = 10–90°, sorted by position:
two_theta, I/Imax, hkl
14.0, 32.3, 1 1 1
23.0, 100.0, 2 2 0
32.8, 63.6, 4 0 0
40.4, 46.9, 4 2 2
47.0, 43.8, 4 4 0
63.7, 25.2, 6 4 2

Cell: 10.929 10.929 10.929 Å, 90.00 90.00 90.00°
Space group Fm-3m (No. 225)
Inequivalent atoms, fractional coordinates:
Cs1 0.250 0.250 0.250 (multiplicity 8)
Na1 0.000 0.000 0.000 (multiplicity 4)
Yb1 0.000 0.000 0.500 (multiplicity 4)
Cl1 0.000 0.000 0.254 (multiplicity 24)

=====

4.
Diffraction record for CuH3Ru. The XRD peak list is simulated, not measured: it uses DFT lattice parameters and positions (PBE) and λ = 1.5418 Å (Cu Kα).
Lines closer than 0.1° are merged.

Principal peaks in the range 2θ = 10–90°, sorted by position:
two_theta, I/Imax, hkl
26.3, 5.7, 1 0 0
37.6, 100.0, 1 1 0
54.2, 17.5, 2 0 0
61.2, 2.1, 2 1 0
67.8, 33.1, 2 1 1
80.2, 10.4, 2 2 0

Cell: 3.386 3.386 3.386 Å, 90.00 90.00 90.00°
Space group Pm-3m (No. 221)
Inequivalent atoms, fractional coordinates:
Cu1 0.000 0.000 0.000 (multiplicity 1)
H1 0.000 0.500 0.500 (multiplicity 3)
Ru1 0.500 0.500 0.500 (multiplicity 1)